Starting from DFT lattice parameters and positions (PBE+U), the powder diffractogram of RbPrW2O8 was computed for Cu Ka.
Lines closer than 0.1° are merged.

Peak list (6 most intense, 2θ = 10–80°, in order of falling intensity)
- 2θ 26.51, rel. 100
- 2θ 28.59, rel. 80
- 2θ 30.84, rel. 32
- 2θ 47.98, rel. 25
- 2θ 54.67, rel. 23
- 2θ 32.68, rel. 22

Structural model:
```
RbPrW2O8
1.0
5.557 -5.502 0.000
5.557 5.502 0.000
-4.901 0.000 5.798
Rb Pr W O
2 2 4 16
direct
0.206 0.794 0.750 Rb
0.794 0.206 0.250 Rb
0.225 0.775 0.250 Pr
0.775 0.225 0.750 Pr
0.303 0.313 0.283 W
0.313 0.303 0.783 W
0.687 0.697 0.217 W
0.697 0.687 0.717 W
0.052 0.224 0.692 O
0.067 0.375 0.136 O
0.224 0.052 0.192 O
0.255 0.374 0.560 O
0.374 0.255 0.060 O
0.374 0.588 0.027 O
0.375 0.067 0.636 O
0.412 0.626 0.473 O
0.588 0.374 0.527 O
0.625 0.933 0.364 O
0.626 0.412 0.973 O
0.626 0.745 0.940 O
0.745 0.626 0.440 O
0.776 0.948 0.808 O
0.933 0.625 0.864 O
0.948 0.776 0.308 O
```